[1]
This entry pairs a crystal structure of Li8SnO6 with its theoretical XRD peak list. Radiation: Cu Kα (weighted mean of Kα1 and Kα2). Structure: a cell relaxed with PBE.
Peak positions follow from Bragg's law for the DFT cell and can differ from measured ones.

Peak list (10 most intense, 2θ from 5° to 70°, by intensity)
19.40°, I = 100, (1 0 1)
21.82°, I = 79, (0 1 2)
36.88°, I = 65, (1 1 3)
48.25°, I = 42, (1 1 6)
17.19°, I = 40, (0 0 3)
29.68°, I = 30, (1 0 4)
34.50°, I = 23, (0 1 5)
57.73°, I = 21, (3 0 0)
38.01°, I = 16, (0 2 1)
51.86°, I = 15, (1 2 2)

Atomic structure:
a b c (Å): 5.5315 5.5315 15.4748
angles (deg): 90.00 90.00 120.00
Space group R-3 (No. 148, hexagonal axes)
Asymmetric unit:
Li1 0.0000 0.0000 0.1553 (multiplicity 6)
Li2 0.0198 0.6452 0.3798 (multiplicity 18)
Sn1 0.0000 0.0000 0.5000 (multiplicity 3)
O1 0.0127 0.6965 0.5811 (multiplicity 18)


[2]
This entry pairs a crystal structure of Li2SnO6 with its theoretical XRD peak list. Radiation: Cu Kα (weighted mean of Kα1 and Kα2). Structure: a cell relaxed with PBE.
Peak positions follow from Bragg's law for the DFT cell and can differ from measured ones.

Peak list (10 most intense, 2θ from 5° to 70°, by intensity)
17.81°, I = 100, (0 0 2)
28.68°, I = 18, (1 1 -1)
34.79°, I = 15, (1 1 -3)
41.15°, I = 14, (1 2 -2)
33.09°, I = 12, (1 1 1)
31.10°, I = 12, (0 1 3)
35.07°, I = 12, (1 0 2)
48.31°, I = 9, (0 1 5)
49.52°, I = 7, (1 2 -4)
26.20°, I = 7, (1 0 -2)

Atomic structure:
a b c (Å): 3.7120 5.7392 10.4408
angles (deg): 90.00 107.08 90.00
Space group P2_1/c (No. 14)
Asymmetric unit:
Li1 0.0121 0.0022 0.1491 (multiplicity 4)
Sn1 0.5000 0.0000 0.5000 (multiplicity 2)
O1 0.0393 0.5997 0.8368 (multiplicity 4)
O2 0.2264 0.1992 0.0335 (multiplicity 4)
O3 0.2853 0.7030 0.1303 (multiplicity 4)


[3]
This entry pairs a crystal structure of LiZn4Sn4O8 with its theoretical XRD peak list. Radiation: Cu Kα (weighted mean of Kα1 and Kα2). Structure: a cell relaxed with PBE.
Peak positions follow from Bragg's law for the DFT cell and can differ from measured ones.

Peak list (10 most intense, 2θ from 5° to 70°, by intensity)
33.11°, I = 100, (1 2 0)
30.42°, I = 96, (0 0 3)
28.01°, I = 88, (0 2 2)
30.28°, I = 87, (1 -1 1)
30.09°, I = 59, (0 3 0)
37.38°, I = 44, (1 0 -2)
32.11°, I = 44, (0 3 -1)
27.69°, I = 41, (1 0 1)
41.34°, I = 35, (1 2 3)
32.39°, I = 33, (0 1 -3)

Atomic structure:
a b c (Å): 3.2884 8.9430 8.9691
angles (deg): 87.35 79.53 85.51
Space group P-1 (No. 2)
Asymmetric unit:
Li1 0.0000 0.0000 0.0000 (multiplicity 1)
Zn1 0.1327 0.2509 0.6285 (multiplicity 2)
Zn2 0.3614 0.0480 0.2576 (multiplicity 2)
Sn1 0.0530 0.6823 0.0213 (multiplicity 2)
Sn2 0.2858 0.6185 0.6596 (multiplicity 2)
O1 0.1025 0.0722 0.7612 (multiplicity 2)
O2 0.2510 0.2200 0.3976 (multiplicity 2)
O3 0.3704 0.6158 0.4121 (multiplicity 2)
O4 0.4514 0.1638 0.0507 (multiplicity 2)


[4]
This entry pairs a crystal structure of LiZn4Sn4O8 with its theoretical XRD peak list. Radiation: Cu Kα (weighted mean of Kα1 and Kα2). Structure: a cell relaxed with PBE.
Peak positions follow from Bragg's law for the DFT cell and can differ from measured ones.

Peak list (10 most intense, 2θ from 5° to 70°, by intensity)
19.57°, I = 100, (0 2 0)
33.01°, I = 96, (1 2 1)
28.61°, I = 90, (0 2 -2)
33.57°, I = 81, (1 -2 0)
21.03°, I = 45, (0 1 2)
36.28°, I = 43, (1 0 3)
30.10°, I = 42, (0 1 3)
34.11°, I = 38, (0 2 3)
36.53°, I = 37, (0 2 -3)
26.92°, I = 34, (1 0 0)

Atomic structure:
a b c (Å): 3.3672 9.0960 9.3637
angles (deg): 85.79 79.92 88.94
Space group P1 (No. 1)
Asymmetric unit:
Li1 0.0000 0.0000 0.0000 (multiplicity 1)
Zn1 0.1362 0.6661 0.6356 (multiplicity 1)
Zn2 0.5590 0.2458 0.8464 (multiplicity 1)
Zn3 0.7382 0.4258 0.4495 (multiplicity 1)
Zn4 0.9311 0.4587 0.0727 (multiplicity 1)
Sn1 0.1904 0.1097 0.5985 (multiplicity 1)
Sn2 0.2931 0.7358 0.2941 (multiplicity 1)
Sn3 0.3784 0.1705 0.2131 (multiplicity 1)
Sn4 0.5084 0.7507 0.8981 (multiplicity 1)
O1 0.0235 0.6067 0.8769 (multiplicity 1)
O2 0.0719 0.1231 0.8303 (multiplicity 1)
O3 0.2240 0.5474 0.4657 (multiplicity 1)
O4 0.4589 0.3458 0.0269 (multiplicity 1)
O5 0.6143 0.7671 0.6724 (multiplicity 1)
O6 0.6682 0.2681 0.6194 (multiplicity 1)
O7 0.8379 0.3075 0.2778 (multiplicity 1)
O8 0.8469 0.6324 0.1957 (multiplicity 1)


[5]
This entry pairs a crystal structure of LiZn4Sn4O8 with its theoretical XRD peak list. Radiation: Cu Kα (weighted mean of Kα1 and Kα2). Structure: a cell relaxed with PBE.
Peak positions follow from Bragg's law for the DFT cell and can differ from measured ones.

Peak list (10 most intense, 2θ from 5° to 70°, by intensity)
27.64°, I = 100, (0 2 2)
30.73°, I = 92, (1 -1 1)
31.89°, I = 89, (1 2 0)
30.85°, I = 61, (0 1 -3)
35.50°, I = 43, (1 0 -2)
35.92°, I = 43, (1 1 3)
33.99°, I = 33, (0 3 -1)
53.96°, I = 31, (2 1 1)
22.10°, I = 30, (0 1 -2)
21.22°, I = 22, (0 2 0)

Atomic structure:
a b c (Å): 3.4014 8.4951 9.6197
angles (deg): 85.30 80.07 80.91
Space group P1 (No. 1)
Asymmetric unit:
Li1 0.0000 0.0000 0.0000 (multiplicity 1)
Zn1 0.1024 0.1938 0.5494 (multiplicity 1)
Zn2 0.3494 0.6235 0.7150 (multiplicity 1)
Zn3 0.6053 0.4559 0.3509 (multiplicity 1)
Zn4 0.8597 0.3589 0.9098 (multiplicity 1)
Sn1 0.1589 0.6727 0.0636 (multiplicity 1)
Sn2 0.3218 0.1277 0.2199 (multiplicity 1)
Sn3 0.6075 0.0014 0.7772 (multiplicity 1)
Sn4 0.8941 0.7909 0.4583 (multiplicity 1)
O1 0.1523 0.3221 0.3638 (multiplicity 1)
O2 0.3040 0.5003 0.9005 (multiplicity 1)
O3 0.4600 0.6148 0.4982 (multiplicity 1)
O4 0.6477 0.0526 0.5563 (multiplicity 1)
O5 0.6577 0.5584 0.1573 (multiplicity 1)
O6 0.8138 0.7537 0.6867 (multiplicity 1)
O7 0.8575 0.2039 0.0875 (multiplicity 1)
O8 0.9159 0.2257 0.7500 (multiplicity 1)


[6]
This entry pairs a crystal structure of LiZn4Sn4O8 with its theoretical XRD peak list. Radiation: Cu Kα (weighted mean of Kα1 and Kα2). Structure: a cell relaxed with PBE.
Peak positions follow from Bragg's law for the DFT cell and can differ from measured ones.

Peak list (10 most intense, 2θ from 5° to 70°, by intensity)
32.05°, I = 100, (1 1 0)
32.43°, I = 39, (0 1 3)
35.69°, I = 39, (1 0 -3)
25.47°, I = 35, (0 2 -2)
55.16°, I = 20, (1 2 3)
49.04°, I = 19, (1 -4 2)
31.41°, I = 17, (0 3 -1)
21.36°, I = 16, (0 2 -1)
10.51°, I = 16, (0 1 0)
55.04°, I = 15, (-2 1 1)

Atomic structure:
a b c (Å): 3.3369 8.7476 9.7233
angles (deg): 99.13 99.87 100.97
Space group P1 (No. 1)
Asymmetric unit:
Li1 0.0000 0.0000 0.0000 (multiplicity 1)
Zn1 0.0400 0.2107 0.8710 (multiplicity 1)
Zn2 0.1763 0.0248 0.3284 (multiplicity 1)
Zn3 0.3042 0.9141 0.6947 (multiplicity 1)
Zn4 0.9304 0.3311 0.5327 (multiplicity 1)
Sn1 0.3935 0.6926 0.0932 (multiplicity 1)
Sn2 0.5740 0.7047 0.4442 (multiplicity 1)
Sn3 0.6658 0.5560 0.7795 (multiplicity 1)
Sn4 0.7772 0.3461 0.2094 (multiplicity 1)
O1 0.0027 0.8667 0.1382 (multiplicity 1)
O2 0.0540 0.3620 0.7494 (multiplicity 1)
O3 0.1616 0.2328 0.0910 (multiplicity 1)
O4 0.1805 0.8863 0.4754 (multiplicity 1)
O5 0.4681 0.0701 0.8673 (multiplicity 1)
O6 0.5068 0.4657 0.5511 (multiplicity 1)
O7 0.7255 0.7784 0.6726 (multiplicity 1)
O8 0.7577 0.1652 0.3513 (multiplicity 1)


[7]
This entry pairs a crystal structure of LiZn4Sn4O8 with its theoretical XRD peak list. Radiation: Cu Kα (weighted mean of Kα1 and Kα2). Structure: a cell relaxed with PBE.
Peak positions follow from Bragg's law for the DFT cell and can differ from measured ones.

Peak list (10 most intense, 2θ from 5° to 70°, by intensity)
31.23°, I = 100, (1 2 0)
30.84°, I = 94, (1 -1 1)
27.97°, I = 86, (0 2 2)
31.05°, I = 63, (0 1 -3)
36.36°, I = 54, (1 0 -2)
36.93°, I = 47, (1 1 3)
54.67°, I = 41, (2 1 1)
20.06°, I = 37, (0 2 0)
31.86°, I = 36, (0 3 -1)
30.28°, I = 28, (0 3 0)

Atomic structure:
a b c (Å): 3.3595 8.9844 9.2877
angles (deg): 88.09 80.24 80.26
Space group P1 (No. 1)
Asymmetric unit:
Li1 0.0000 0.0000 0.0000 (multiplicity 1)
Zn1 0.1664 0.0394 0.6861 (multiplicity 1)
Zn2 0.3976 0.9823 0.2549 (multiplicity 1)
Zn3 0.6795 0.7769 0.8860 (multiplicity 1)
Zn4 0.8635 0.2681 0.0969 (multiplicity 1)
Sn1 0.1638 0.6143 0.1380 (multiplicity 1)
Sn2 0.4492 0.3596 0.8137 (multiplicity 1)
Sn3 0.6772 0.2981 0.4292 (multiplicity 1)
Sn4 0.8742 0.7420 0.5260 (multiplicity 1)
O1 0.1754 0.1948 0.5321 (multiplicity 1)
O2 0.2240 0.6565 0.9067 (multiplicity 1)
O3 0.3338 0.3773 0.0520 (multiplicity 1)
O4 0.3665 0.8567 0.4330 (multiplicity 1)
O5 0.5106 0.9229 0.0505 (multiplicity 1)
O6 0.7149 0.9139 0.7030 (multiplicity 1)
O7 0.8345 0.1216 0.2575 (multiplicity 1)
O8 0.9989 0.1970 0.8688 (multiplicity 1)